[1]
This entry pairs a crystal structure of Y3B6Os8 with its simulated XRD peak list. Radiation: λ = 1.5418 Å (Cu Kα). Structure: a crystal structure in the Materials Project, relaxed with GGA-PBE.

The 12 most intense peaks (2θ from 5° to 70°), low angle first:
two_theta, I_rel
18.5, 154
19.2, 70
30.3, 260
31.5, 188
35.8, 229
37.6, 1000
41.5, 109
45.0, 137
49.0, 478
57.2, 71
60.0, 104
67.8, 191

Structure:
a b c (Å): 10.0553 9.2628 5.5292
angles (deg): 81.43 65.63 32.94
Atoms (fractional coordinates):
Y1 0.0000 0.0000 0.0000
Y2 0.1797 0.1797 0.8203
Y3 0.8203 0.8203 0.1797
B1 0.1761 0.4735 0.5265
B2 0.3180 0.6820 0.3180
B3 0.4735 0.1761 0.8240
B4 0.5265 0.8240 0.1761
B5 0.6820 0.3180 0.6820
B6 0.8240 0.5265 0.4735
Os1 0.0903 0.0903 0.4097
Os2 0.2500 0.2500 0.2500
Os3 0.4097 0.4097 0.0903
Os4 0.4203 0.4203 0.5797
Os5 0.5797 0.5797 0.4203
Os6 0.5903 0.5903 0.9097
Os7 0.7500 0.7500 0.7500
Os8 0.9097 0.9097 0.5903



[2]
This entry pairs a crystal structure of YB4Os with its simulated XRD peak list. Radiation: λ = 1.5418 Å (Cu Kα). Structure: a crystal structure in the Materials Project, relaxed with GGA-PBE.

The 12 most intense peaks (2θ from 5° to 70°), low angle first:
two_theta, I_rel
16.7, 321
21.4, 243
24.9, 893
30.9, 826
34.5, 241
38.1, 412
40.1, 1000
43.0, 318
46.1, 556
51.2, 204
61.0, 243
65.5, 172

Structure:
a b c (Å): 5.9783 11.5677 3.5708
angles (deg): 90.00 90.00 90.00
Atoms (fractional coordinates):
Y1 0.1281 0.1498 0.0000
Y2 0.3719 0.6498 0.0000
Y3 0.6281 0.3502 0.0000
Y4 0.8719 0.8502 0.0000
B1 0.0253 0.6914 0.5000
B2 0.1125 0.5466 0.5000
B3 0.1364 0.9698 0.5000
B4 0.2113 0.8143 0.5000
B5 0.2887 0.3143 0.5000
B6 0.3636 0.4698 0.5000
B7 0.3875 0.0466 0.5000
B8 0.4747 0.1914 0.5000
B9 0.5253 0.8086 0.5000
B10 0.6125 0.9534 0.5000
B11 0.6364 0.5302 0.5000
B12 0.7113 0.6857 0.5000
B13 0.7887 0.1857 0.5000
B14 0.8636 0.0302 0.5000
B15 0.8875 0.4534 0.5000
B16 0.9747 0.3086 0.5000
Os1 0.1405 0.4066 0.0000
Os2 0.3595 0.9066 0.0000
Os3 0.6405 0.0934 0.0000
Os4 0.8595 0.5934 0.0000



[3]
This entry pairs a crystal structure of B13P2 with its simulated XRD peak list. Radiation: λ = 1.5418 Å (Cu Kα). Structure: a crystal structure in the Materials Project, relaxed with GGA-PBE.

The 12 most intense peaks (2θ from 5° to 70°), low angle first:
two_theta, I_rel
11.2, 1000
21.5, 193
22.5, 220
26.0, 260
28.4, 107
33.9, 296
37.1, 99
43.8, 133
51.1, 130
60.4, 136
61.6, 110
68.0, 80

Structure:
a b c (Å): 8.4095 8.4095 8.4095
angles (deg): 33.49 33.49 33.49
Atoms (fractional coordinates):
B1 0.0000 0.0000 0.0000
B2 0.0670 0.0670 0.6804
B3 0.0670 0.6804 0.0670
B4 0.2197 0.2197 0.5994
B5 0.2197 0.5994 0.2197
B6 0.3196 0.9330 0.9330
B7 0.4006 0.7803 0.7803
B8 0.5994 0.2197 0.2197
B9 0.6804 0.0670 0.0670
B10 0.7803 0.4006 0.7803
B11 0.7803 0.7803 0.4006
B12 0.9330 0.3196 0.9330
B13 0.9330 0.9330 0.3196
P1 0.2261 0.2261 0.2261
P2 0.7739 0.7739 0.7739



[4]
This entry pairs a crystal structure of BP with its simulated XRD peak list. Radiation: λ = 1.5418 Å (Cu Kα). Structure: a crystal structure in the Materials Project, relaxed with GGA-PBE.

The 4 most intense peaks (2θ from 5° to 70°), low angle first:
two_theta, I_rel
34.2, 1000
39.6, 248
57.3, 422
68.4, 346

Structure:
a b c (Å): 4.5468 4.5468 4.5468
angles (deg): 90.00 90.00 90.00
Atoms (fractional coordinates):
B1 0.0000 0.0000 0.0000
B2 0.0000 0.5000 0.5000
B3 0.5000 0.0000 0.5000
B4 0.5000 0.5000 0.0000
P1 0.2500 0.2500 0.2500
P2 0.2500 0.7500 0.7500
P3 0.7500 0.2500 0.7500
P4 0.7500 0.7500 0.2500



Please write out number 4 again, unchanged.
This entry pairs a crystal structure of BP with its simulated XRD peak list. Radiation: λ = 1.5418 Å (Cu Kα). Structure: a crystal structure in the Materials Project, relaxed with GGA-PBE.

The 4 most intense peaks (2θ from 5° to 70°), low angle first:
two_theta, I_rel
34.2, 1000
39.6, 248
57.3, 422
68.4, 346

Structure:
a b c (Å): 4.5468 4.5468 4.5468
angles (deg): 90.00 90.00 90.00
Atoms (fractional coordinates):
B1 0.0000 0.0000 0.0000
B2 0.0000 0.5000 0.5000
B3 0.5000 0.0000 0.5000
B4 0.5000 0.5000 0.0000
P1 0.2500 0.2500 0.2500
P2 0.2500 0.7500 0.7500
P3 0.7500 0.2500 0.7500
P4 0.7500 0.7500 0.2500



Copy entry 4 word for word.
This entry pairs a crystal structure of BP with its simulated XRD peak list. Radiation: λ = 1.5418 Å (Cu Kα). Structure: a crystal structure in the Materials Project, relaxed with GGA-PBE.

The 4 most intense peaks (2θ from 5° to 70°), low angle first:
two_theta, I_rel
34.2, 1000
39.6, 248
57.3, 422
68.4, 346

Structure:
a b c (Å): 4.5468 4.5468 4.5468
angles (deg): 90.00 90.00 90.00
Atoms (fractional coordinates):
B1 0.0000 0.0000 0.0000
B2 0.0000 0.5000 0.5000
B3 0.5000 0.0000 0.5000
B4 0.5000 0.5000 0.0000
P1 0.2500 0.2500 0.2500
P2 0.2500 0.7500 0.7500
P3 0.7500 0.2500 0.7500
P4 0.7500 0.7500 0.2500